Entry 1:
For ZnIn2Hg8, the GGA-PBE geometry in Alexandria gives the simulated powder X-ray diffraction pattern in this record (a wavelength of 1.5418 Å).

The 10 most intense peaks (10 to 80 degrees two-theta), sorted by position:
| 2θ/deg | I_rel | h k l |
| --- | --- | --- |
| 24.96 | 9.0 | 1 1 0 |
| 29.62 | 20.6 | 1 1 2 |
| 34.65 | 100.0 | 1 1 3 |
| 35.59 | 55.5 | 2 0 0 |
| 39.93 | 8.5 | 0 0 5 |
| 51.21 | 19.9 | 2 2 0 |
| 54.55 | 13.5 | 2 0 5 |
| 61.48 | 11.6 | 2 0 6 |
| 63.32 | 35.5 | 3 1 3 |
| 71.96 | 10.8 | 1 1 8 |

```
data_ZnIn2Hg8
_space_group_name_H-M_alt 'P 4/m m m'
_space_group_IT_number 123
_space_group_name_Hall '-P 4 2'
_cell_length_a 5.045
_cell_length_b 5.045
_cell_length_c 11.289
_cell_angle_alpha 90.00
_cell_angle_beta 90.00
_cell_angle_gamma 90.00
loop_
_atom_site_label
_atom_site_type_symbol
_atom_site_fract_x
_atom_site_fract_y
_atom_site_fract_z
Zn1 Zn 0.000 0.000 0.000
In1 In 0.000 0.000 0.317
Hg1 Hg 0.000 0.500 0.136
Hg2 Hg 0.000 0.500 0.500
Hg3 Hg 0.500 0.500 0.315
```

Entry 2:
For ZnIn8Hg4, the GGA-PBE geometry in Alexandria gives the simulated powder X-ray diffraction pattern in this record (a wavelength of 1.5418 Å).

The 10 most intense peaks (10 to 80 degrees two-theta), sorted by position:
| 2θ/deg | I_rel | h k l |
| --- | --- | --- |
| 29.22 | 95.8 | 1 2 2 |
| 29.73 | 100.0 | 1 0 -2 |
| 30.79 | 94.1 | 1 -2 0 |
| 35.78 | 82.4 | 2 0 2 |
| 36.75 | 74.5 | 0 2 -2 |
| 38.43 | 63.2 | 2 2 0 |
| 44.68 | 36.5 | 1 0 4 |
| 45.67 | 26.8 | 0 2 4 |
| 49.19 | 23.4 | -2 2 2 |
| 49.60 | 27.9 | 3 0 0 |

```
data_ZnIn8Hg4
_space_group_name_H-M_alt 'P -1'
_space_group_IT_number 2
_cell_length_a 5.699
_cell_length_b 7.687
_cell_length_c 8.563
_cell_angle_alpha 74.41
_cell_angle_beta 76.99
_cell_angle_gamma 80.12
loop_
_space_group_symop_operation_xyz
'x,y,z'
'-x,-y,-z'
loop_
_atom_site_label
_atom_site_type_symbol
_atom_site_fract_x
_atom_site_fract_y
_atom_site_fract_z
Zn1 Zn 0.000 0.000 0.000
In1 In 0.170 0.839 0.335
In2 In 0.178 0.342 0.830
In3 In 0.189 0.346 0.344
In4 In 0.202 0.780 0.785
Hg1 Hg 0.500 0.000 0.000
Hg2 Hg 0.500 0.000 0.500
Hg3 Hg 0.500 0.500 0.000
Hg4 Hg 0.500 0.500 0.500
```

Entry 3:
For ZnIn10Hg4, the GGA-PBE geometry in Alexandria gives the simulated powder X-ray diffraction pattern in this record (a wavelength of 1.5418 Å).

The 10 most intense peaks (10 to 80 degrees two-theta), sorted by position:
| 2θ/deg | I_rel | h k l |
| --- | --- | --- |
| 29.44 | 34.8 | 1 -1 2 |
| 29.87 | 31.3 | 1 1 3 |
| 31.48 | 66.7 | 1 -1 3 |
| 32.46 | 100.0 | 1 1 4 |
| 33.60 | 93.8 | 1 1 -4 |
| 34.24 | 65.5 | 0 0 7 |
| 36.99 | 78.3 | -1 1 5 |
| 38.28 | 75.0 | 0 2 1 |
| 39.68 | 63.0 | 2 0 -1 |
| 54.56 | 29.6 | 2 2 0 |

```
data_ZnIn10Hg4
_space_group_name_H-M_alt 'P -1'
_space_group_IT_number 2
_cell_length_a 4.595
_cell_length_b 4.729
_cell_length_c 18.342
_cell_angle_alpha 88.22
_cell_angle_beta 88.85
_cell_angle_gamma 87.53
loop_
_space_group_symop_operation_xyz
'x,y,z'
'-x,-y,-z'
loop_
_atom_site_label
_atom_site_type_symbol
_atom_site_fract_x
_atom_site_fract_y
_atom_site_fract_z
Zn1 Zn 0.000 0.000 0.000
In1 In 0.032 0.480 0.092
In2 In 0.057 0.915 0.232
In3 In 0.247 0.753 0.500
In4 In 0.253 0.287 0.365
In5 In 0.488 0.031 0.905
Hg1 Hg 0.269 0.235 0.627
Hg2 Hg 0.425 0.576 0.780
```